No. 1
Calculated PXRD pattern
Compound: Li4Fe2Co3Te3O16
Radiation: copper Kα
Structure: a DFT-relaxed cell (GGA+U, Alexandria)
No peak broadening, texture or thermal motion is included.

Crystal structure
Cell lengths 6.204, 6.217, 9.745 Å; angles 89.50, 88.91, 60.10 degrees
Fractional positions:
Li (0.000, 0.000, 0.000)
Li (0.024, 0.001, 0.478)
Li (0.359, 0.321, 0.107)
Li (0.672, 0.649, 0.584)
Fe (0.409, 0.297, 0.477)
Fe (0.741, 0.646, 0.015)
Co (0.684, 0.149, 0.773)
Co (0.877, 0.321, 0.271)
Co (0.877, 0.808, 0.276)
Te (0.185, 0.160, 0.772)
Te (0.196, 0.646, 0.766)
Te (0.386, 0.810, 0.271)
O (0.004, 0.504, 0.144)
O (0.019, 0.024, 0.665)
O (0.046, 0.460, 0.651)
O (0.067, 0.971, 0.181)
O (0.230, 0.654, 0.389)
O (0.234, 0.120, 0.386)
O (0.332, 0.868, 0.888)
O (0.340, 0.313, 0.883)
O (0.479, 0.026, 0.652)
O (0.504, 0.454, 0.640)
O (0.539, 0.525, 0.142)
O (0.544, 0.947, 0.149)
O (0.686, 0.655, 0.380)
O (0.718, 0.140, 0.388)
O (0.854, 0.833, 0.895)
O (0.880, 0.312, 0.886)

Peak list (10 most intense, 2θ from 10° to 90°, in order of falling intensity)
d [Å], Position (°2θ), intensity, h k l
4.872, 18.21, 100, 0 0 2
4.734, 18.74, 83, 1 0 1
2.598, 34.52, 42, 0 2 1
2.580, 34.77, 40, 2 0 -1
2.606, 34.41, 33, 2 0 1
2.088, 43.34, 31, 2 0 3
1.554, 59.46, 27, 2 4 0
2.074, 43.65, 27, 0 2 -3
2.690, 33.30, 24, 2 2 0
2.054, 44.09, 21, 2 0 -3


No. 2
Calculated PXRD pattern
Compound: Li10Ti2Fe3Co3O16
Radiation: copper Kα
Structure: a DFT-relaxed cell (GGA+U, Alexandria)
No peak broadening, texture or thermal motion is included.

Crystal structure
Cell lengths 5.905, 6.052, 9.891 Å; angles 89.08, 89.97, 61.20 degrees
Fractional positions:
Li (0.000, 0.000, 0.000)
Li (0.008, 0.966, 0.503)
Li (0.195, 0.171, 0.428)
Li (0.210, 0.578, 0.441)
Li (0.311, 0.359, 0.209)
Li (0.391, 0.755, 0.938)
Li (0.610, 0.181, 0.431)
Li (0.676, 0.640, 0.721)
Li (0.798, 0.393, 0.946)
Li (0.850, 0.757, 0.942)
Ti (0.371, 0.261, 0.950)
Ti (0.690, 0.625, 0.457)
Fe (0.179, 0.131, 0.701)
Fe (0.186, 0.621, 0.702)
Fe (0.343, 0.816, 0.204)
Co (0.677, 0.134, 0.699)
Co (0.833, 0.327, 0.203)
Co (0.837, 0.822, 0.203)
O (0.010, 0.990, 0.312)
O (0.020, 0.948, 0.808)
O (0.037, 0.459, 0.833)
O (0.173, 0.672, 0.078)
O (0.183, 0.161, 0.073)
O (0.340, 0.303, 0.585)
O (0.354, 0.776, 0.574)
O (0.501, 0.458, 0.828)
O (0.503, 0.501, 0.328)
O (0.513, 0.976, 0.841)
O (0.516, 0.950, 0.334)
O (0.658, 0.174, 0.066)
O (0.665, 0.659, 0.087)
O (0.830, 0.310, 0.559)
O (0.847, 0.781, 0.576)
O (0.985, 0.494, 0.336)

Peak list (10 most intense, 2θ from 10° to 90°, in order of falling intensity)
d [Å], Position (°2θ), intensity, h k l
4.945, 17.94, 100, 0 0 2
4.590, 19.34, 60, 1 1 1
2.573, 34.87, 40, 0 2 1
2.084, 43.41, 40, 0 2 3
2.497, 35.97, 35, 2 0 1
4.709, 18.85, 35, 0 1 1
2.043, 44.33, 34, 2 0 -3
2.037, 44.48, 33, 2 2 3
2.549, 35.20, 30, 0 2 -1
2.048, 44.22, 30, 0 2 -3


No. 3
Calculated PXRD pattern
Compound: Li4Ti3Fe2Co3O16
Radiation: copper Kα
Structure: a DFT-relaxed cell (GGA+U, Alexandria)
No peak broadening, texture or thermal motion is included.

Crystal structure
Cell lengths 5.765, 5.790, 9.568 Å; angles 89.68, 89.94, 60.78 degrees
Fractional positions:
Li (0.000, 0.000, 0.000)
Li (0.003, 0.985, 0.496)
Li (0.324, 0.309, 0.105)
Li (0.652, 0.654, 0.597)
Ti (0.143, 0.648, 0.784)
Ti (0.647, 0.167, 0.775)
Ti (0.818, 0.811, 0.278)
Fe (0.319, 0.323, 0.501)
Fe (0.650, 0.650, 0.006)
Co (0.164, 0.155, 0.780)
Co (0.331, 0.813, 0.281)
Co (0.823, 0.320, 0.283)
O (0.025, 0.466, 0.657)
O (0.149, 0.151, 0.384)
O (0.151, 0.660, 0.393)
O (0.316, 0.821, 0.891)
O (0.327, 0.319, 0.893)
O (0.470, 0.023, 0.655)
O (0.471, 0.470, 0.659)
O (0.509, 0.944, 0.157)
O (0.511, 0.498, 0.168)
O (0.656, 0.644, 0.389)
O (0.668, 0.150, 0.392)
O (0.827, 0.822, 0.896)
O (0.829, 0.312, 0.891)
O (0.955, 0.493, 0.160)
O (0.994, 0.989, 0.186)
O (0.995, 0.988, 0.684)

Peak list (10 most intense, 2θ from 10° to 90°, in order of falling intensity)
d [Å], Position (°2θ), intensity, h k l
4.784, 18.55, 100, 0 0 2
4.465, 19.88, 76, 0 1 1
4.422, 20.08, 54, 1 1 1
2.469, 36.38, 45, 2 1 -2
1.975, 45.95, 45, 2 0 3
2.692, 33.28, 40, 1 0 -3
1.521, 60.90, 37, 2 0 5
3.464, 25.72, 35, 1 0 -2
2.227, 40.50, 30, 2 0 2
4.450, 19.95, 27, 1 0 1